No. 1
This entry pairs a crystal structure of Cd3Sb2Cl with its theoretical powder diffractogram. Radiation: Cu Kα X-rays. Structure: a cell relaxed with PBE.
Intensities are scaled so that the largest is 100.

Atomic structure:
```
data_Cd3Sb2Cl
_symmetry_space_group_name_H-M 'C 1 c 1'
_symmetry_Int_Tables_number 9
_cell_length_a 8.132
_cell_length_b 13.921
_cell_length_c 8.067
_cell_angle_alpha 90.00
_cell_angle_beta 117.46
_cell_angle_gamma 90.00
loop_
_symmetry_equiv_pos_as_xyz
'x,y,z'
'x,-y,z+1/2'
'x+1/2,y+1/2,z'
'x+1/2,-y+1/2,z+1/2'
loop_
_atom_site_label
_atom_site_fract_x
_atom_site_fract_y
_atom_site_fract_z
Cd1 0.000 0.080 0.000
Cd2 0.025 0.403 0.006
Cd3 0.046 0.259 0.516
Sb1 0.124 0.429 0.384
Sb2 0.152 0.237 0.904
Cl1 0.137 0.089 0.395
```

Largest 8 diffraction maxima, by angle, 2θ = 10–90°:
d 3.854, 2θ 23.07, rel. 100, (1 3 -1)
d 3.608, 2θ 24.68, rel. 56, (2 0 0)
d 3.579, 2θ 24.88, rel. 57, (0 0 2)
d 2.322, 2θ 38.78, rel. 79, (3 3 -1)
d 2.308, 2θ 39.03, rel. 56, (1 3 -3)
d 2.102, 2θ 43.03, rel. 21, (2 0 2)
d 2.066, 2θ 43.82, rel. 28, (3 3 -3)
d 1.947, 2θ 46.65, rel. 17, (0 6 2)



No. 2
This entry pairs a crystal structure of NaNiH6Pb with its theoretical powder diffractogram. Radiation: Cu Kα X-rays. Structure: a cell relaxed with PBE.
Intensities are scaled so that the largest is 100.

Atomic structure:
```
data_NaNiH6Pb
_symmetry_space_group_name_H-M 'C 1 m 1'
_symmetry_Int_Tables_number 8
_cell_length_a 9.258
_cell_length_b 4.730
_cell_length_c 4.584
_cell_angle_alpha 90.00
_cell_angle_beta 94.97
_cell_angle_gamma 90.00
loop_
_symmetry_equiv_pos_as_xyz
'x,y,z'
'x,-y,z'
'x+1/2,y+1/2,z'
'x+1/2,-y+1/2,z'
loop_
_atom_site_label
_atom_site_fract_x
_atom_site_fract_y
_atom_site_fract_z
Na1 0.000 0.000 0.000
Ni1 0.308 0.000 0.823
H1 0.160 0.000 0.633
H2 0.257 0.227 0.033
H3 0.381 0.217 0.622
H4 0.448 0.000 0.021
Pb1 0.199 0.500 0.459
```

Largest 8 diffraction maxima, by angle, 2θ = 10–90°:
d 4.611, 2θ 19.25, rel. 72, (2 0 0)
d 4.567, 2θ 19.44, rel. 33, (0 0 1)
d 4.209, 2θ 21.11, rel. 56, (1 1 0)
d 3.395, 2θ 26.25, rel. 60, (2 0 -1)
d 3.158, 2θ 28.26, rel. 62, (1 1 -1)
d 3.036, 2θ 29.42, rel. 100, (1 1 1)
d 2.578, 2θ 34.80, rel. 56, (3 1 0)
d 2.103, 2θ 43.01, rel. 28, (2 2 0)



No. 3
This entry pairs a crystal structure of In14Ga3Pt2O8F15 with its theoretical powder diffractogram. Radiation: Cu Kα X-rays. Structure: a cell relaxed with PBE.
Intensities are scaled so that the largest is 100.

Atomic structure:
```
data_In14Ga3Pt2O8F15
_symmetry_space_group_name_H-M 'R -3'
_symmetry_Int_Tables_number 148
_symmetry_space_group_name_Hall '-R 3'
_cell_length_a 7.2250
_cell_length_b 7.2250
_cell_length_c 46.4953
_cell_angle_alpha 90.00
_cell_angle_beta 90.00
_cell_angle_gamma 120.00
loop_
_atom_site_label
_atom_site_fract_x
_atom_site_fract_y
_atom_site_fract_z
In1 0.0000 0.0000 0.1485
In2 0.0041 0.5157 0.9043
In3 0.0056 0.5036 0.6964
Ga1 0.0000 0.0000 0.3001
Ga2 0.0000 0.0000 0.5000
Pt1 0.0000 0.0000 0.3964
O1 0.0000 0.0000 0.2593
O2 0.0505 0.5250 0.3526
F1 0.0000 0.0000 0.0000
F2 0.0000 0.0000 0.0541
F3 0.0062 0.5167 0.4464
F4 0.0823 0.5103 0.1431
```

Largest 8 diffraction maxima, by angle, 2θ = 10–90°:
d 5.191, 2θ 17.08, rel. 44, (0 1 5)
d 3.503, 2θ 25.43, rel. 26, (0 1 11)
d 3.021, 2θ 29.57, rel. 26, (0 2 4)
d 2.963, 2θ 30.16, rel. 100, (2 0 5)
d 2.596, 2θ 34.56, rel. 48, (0 2 10)
d 2.354, 2θ 38.24, rel. 43, (0 2 13)
d 1.866, 2θ 48.81, rel. 49, (2 0 20)
d 1.806, 2θ 50.53, rel. 51, (2 2 0)